Record 1
CsScAgTe2: calculated X-ray diffraction stick pattern (Cu Kα X-rays), based on a structure optimized by DFT (GGA-PBE).
No peak broadening, texture or thermal motion is included.

Top 10 peaks for 10 to 90 degrees two-theta, low angle first:
Position (°2θ), d_spacing, I (rel.)
24.99, 3.563, 100
26.41, 3.375, 41
29.42, 3.035, 20
33.31, 2.690, 26
37.14, 2.421, 19
43.13, 2.097, 16
44.15, 2.051, 13
45.76, 1.983, 19
51.15, 1.786, 15
52.18, 1.753, 16

Cell and atoms:
Unit cell a=8.872 b=8.872 c=6.535 alpha=90.00 beta=90.00 gamma=135.28
Element x y z (fractional)
Cs 0.250 0.750 0.779
Cs 0.750 0.250 0.221
Sc 0.250 0.250 0.500
Sc 0.750 0.750 0.500
Ag 0.000 0.000 0.000
Ag 0.500 0.500 0.000
Te 0.116 0.884 0.289
Te 0.384 0.616 0.289
Te 0.616 0.384 0.711
Te 0.884 0.116 0.711

Record 2
SmH6Pt2: calculated X-ray diffraction stick pattern (Cu Kα X-rays), based on a structure optimized by DFT (GGA-PBE).
No peak broadening, texture or thermal motion is included.

Top 10 peaks for 10 to 90 degrees two-theta, low angle first:
Position (°2θ), d_spacing, I (rel.)
18.29, 4.850, 47
27.89, 3.199, 49
30.07, 2.972, 88
33.32, 2.689, 100
36.34, 2.472, 55
37.07, 2.425, 100
37.39, 2.405, 91
44.88, 2.020, 47
61.55, 1.507, 59
63.24, 1.470, 61

Cell and atoms:
Unit cell a=6.263 b=6.263 c=6.263 alpha=107.16 beta=103.12 gamma=118.56
Element x y z (fractional)
Sm 0.333 0.083 0.250
Sm 0.667 0.917 0.750
H 0.158 0.217 0.942
H 0.159 0.204 0.545
H 0.159 0.614 0.955
H 0.225 0.783 0.442
H 0.394 0.000 0.894
H 0.394 0.500 0.394
H 0.606 0.000 0.106
H 0.606 0.500 0.606
H 0.775 0.217 0.558
H 0.841 0.386 0.045
H 0.841 0.796 0.455
H 0.842 0.783 0.058
Pt 0.182 0.000 0.682
Pt 0.182 0.500 0.182
Pt 0.818 0.000 0.318
Pt 0.818 0.500 0.818

Record 3
Sr4Pu3NiN8: calculated X-ray diffraction stick pattern (Cu Kα X-rays), based on a structure optimized by DFT (GGA-PBE).
No peak broadening, texture or thermal motion is included.

Top 10 peaks for 10 to 90 degrees two-theta, low angle first:
Position (°2θ), d_spacing, I (rel.)
15.03, 5.893, 55
30.34, 2.946, 57
30.72, 2.910, 73
31.52, 2.838, 100
33.63, 2.665, 62
37.11, 2.423, 93
50.69, 1.801, 37
51.18, 1.785, 37
58.82, 1.570, 19
63.91, 1.457, 24

Cell and atoms:
Unit cell a=7.174 b=7.174 c=7.011 alpha=118.62 beta=118.62 gamma=55.73
Element x y z (fractional)
Sr 0.000 0.000 0.000
Sr 0.000 0.500 0.000
Sr 0.500 0.000 0.000
Sr 0.500 0.500 0.000
Pu 0.000 0.000 0.500
Pu 0.000 0.500 0.500
Pu 0.500 0.000 0.500
Ni 0.500 0.500 0.500
N 0.229 0.229 0.278
N 0.236 0.731 0.688
N 0.239 0.239 0.705
N 0.269 0.764 0.312
N 0.731 0.236 0.688
N 0.761 0.761 0.295
N 0.764 0.269 0.312
N 0.771 0.771 0.722

Record 4
TaRe2As: calculated X-ray diffraction stick pattern (Cu Kα X-rays), based on a structure optimized by DFT (GGA-PBE).
No peak broadening, texture or thermal motion is included.

Top 10 peaks for 10 to 90 degrees two-theta, low angle first:
Position (°2θ), d_spacing, I (rel.)
35.63, 2.519, 18
39.44, 2.285, 23
40.20, 2.243, 28
40.95, 2.204, 100
57.59, 1.601, 15
60.97, 1.520, 8
72.55, 1.303, 11
73.57, 1.287, 18
75.58, 1.258, 9
88.78, 1.102, 10

Cell and atoms:
Unit cell a=3.039 b=4.486 c=9.138 alpha=90.00 beta=90.00 gamma=90.00
Element x y z (fractional)
Ta 0.000 0.000 0.000
Ta 0.500 0.500 0.500
Re 0.000 0.500 0.224
Re 0.000 0.500 0.776
Re 0.500 0.000 0.276
Re 0.500 0.000 0.724
As 0.000 0.000 0.500
As 0.500 0.500 0.000

> Which formula does entry 3 have?

Sr4Pu3NiN8